Computed powder X-ray diffraction pattern
Compound: Ba2Ca3Cu4HgO10
Radiation: CuKα
Structure: a DFT-relaxed cell (GGA-PBE, the Materials Project)

```
data_Ba2Ca3Cu4HgO10
_chemical_formula_sum 'Ba2 Ca3 Cu4 Hg1 O10'
_cell_length_a 3.8977
_cell_length_b 3.8977
_cell_length_c 19.4021
_cell_angle_alpha 90.00
_cell_angle_beta 90.00
_cell_angle_gamma 90.00
_space_group_name_H-M_alt 'P 1'
_space_group_IT_number 1
_space_group_name_Hall 'P 1'
loop_
_atom_site_label
_atom_site_type_symbol
_atom_site_fract_x
_atom_site_fract_y
_atom_site_fract_z
Ba1 Ba 0.0000 0.0000 0.1506
Ba2 Ba 0.0000 0.0000 0.8494
Ca1 Ca 0.0000 0.0000 0.3319
Ca2 Ca 0.0000 0.0000 0.5000
Ca3 Ca 0.0000 0.0000 0.6681
Cu1 Cu 0.5000 0.5000 0.2523
Cu2 Cu 0.5000 0.5000 0.4151
Cu3 Cu 0.5000 0.5000 0.5849
Cu4 Cu 0.5000 0.5000 0.7477
Hg1 Hg 0.5000 0.5000 0.0000
O1 O 0.0000 0.5000 0.2500
O2 O 0.0000 0.5000 0.4159
O3 O 0.0000 0.5000 0.5841
O4 O 0.0000 0.5000 0.7500
O5 O 0.5000 0.0000 0.2500
O6 O 0.5000 0.0000 0.4159
O7 O 0.5000 0.0000 0.5841
O8 O 0.5000 0.0000 0.7500
O9 O 0.5000 0.5000 0.1034
O10 O 0.5000 0.5000 0.8966
```

Peak list (6 most intense, 2θ from 5° to 70°, sorted by position)
2theta, Rel. int.
24.61, 23
26.70, 64
29.40, 60
32.51, 100
36.09, 35
46.60, 44

=====

Computed powder X-ray diffraction pattern
Compound: Ba2CaCuHg2O6
Radiation: CuKα
Structure: a DFT-relaxed cell (GGA-PBE, the Materials Project)

```
data_Ba2CaCuHg2O6
_chemical_formula_sum 'Ba2 Ca1 Cu1 Hg2 O6'
_cell_length_a 4.2720
_cell_length_b 4.2720
_cell_length_c 12.0845
_cell_angle_alpha 90.00
_cell_angle_beta 90.00
_cell_angle_gamma 90.00
_space_group_name_H-M_alt 'P 1'
_space_group_IT_number 1
_space_group_name_Hall 'P 1'
loop_
_atom_site_label
_atom_site_type_symbol
_atom_site_fract_x
_atom_site_fract_y
_atom_site_fract_z
Ba1 Ba 0.0000 0.0000 0.1967
Ba2 Ba 0.0000 0.0000 0.8033
Ca1 Ca 0.0000 0.0000 0.5000
Cu1 Cu 0.5000 0.5000 0.0000
Hg1 Hg 0.5000 0.5000 0.3614
Hg2 Hg 0.5000 0.5000 0.6386
O1 O 0.0000 0.5000 0.3716
O2 O 0.0000 0.5000 0.6284
O3 O 0.5000 0.0000 0.3716
O4 O 0.5000 0.0000 0.6284
O5 O 0.5000 0.5000 0.1492
O6 O 0.5000 0.5000 0.8508
```

Peak list (6 most intense, 2θ from 5° to 70°, sorted by position)
2theta, Rel. int.
7.32, 42
29.57, 76
30.50, 100
36.42, 28
42.31, 39
53.05, 46

=====

Computed powder X-ray diffraction pattern
Compound: Ba3CaLa2Cu6O13
Radiation: CuKα
Structure: a DFT-relaxed cell (GGA-PBE, the Materials Project)

```
data_Ba3CaLa2Cu6O13
_chemical_formula_sum 'Ba3 Ca1 La2 Cu6 O13'
_cell_length_a 5.5311
_cell_length_b 5.5311
_cell_length_c 11.9306
_cell_angle_alpha 90.35
_cell_angle_beta 90.35
_cell_angle_gamma 90.84
_space_group_name_H-M_alt 'P 1'
_space_group_IT_number 1
_space_group_name_Hall 'P 1'
loop_
_atom_site_label
_atom_site_type_symbol
_atom_site_fract_x
_atom_site_fract_y
_atom_site_fract_z
Ba1 Ba 0.0000 0.0000 0.0000
Ba2 Ba 0.0008 0.0008 0.3783
Ba3 Ba 0.4917 0.4917 0.0057
Ca1 Ca 0.4961 0.4961 0.6987
La1 La 0.5002 0.5002 0.4047
La2 La 0.9950 0.9950 0.6896
Cu1 Cu 0.0077 0.4851 0.2014
Cu2 Cu 0.4851 0.0077 0.2014
Cu3 Cu 0.4954 0.9937 0.5464
Cu4 Cu 0.4968 0.9952 0.8324
Cu5 Cu 0.9937 0.4954 0.5464
Cu6 Cu 0.9952 0.4968 0.8324
O1 O 0.2443 0.7477 0.8194
O2 O 0.2460 0.2460 0.8241
O3 O 0.2502 0.7375 0.5528
O4 O 0.2511 0.2511 0.5495
O5 O 0.2890 0.2890 0.2299
O6 O 0.5045 0.9161 0.3487
O7 O 0.5158 0.9876 0.0498
O8 O 0.7375 0.2502 0.5528
O9 O 0.7378 0.7378 0.5625
O10 O 0.7469 0.7469 0.8231
O11 O 0.7477 0.2443 0.8194
O12 O 0.9161 0.5045 0.3487
O13 O 0.9876 0.5158 0.0498
```

Peak list (6 most intense, 2θ from 5° to 70°, sorted by position)
2theta, Rel. int.
31.98, 60
32.08, 32
32.37, 100
46.08, 20
46.80, 19
57.24, 18